# Cs2ZrUO6
Computed powder diffraction line list, copper Kα. Input: a crystal structure in Alexandria, relaxed with GGA-PBE.

Structural model:
```
Cs2ZrUO6
1.0
0.0000 4.3289 4.3289
4.3289 0.0000 4.3289
4.3289 4.3289 0.0000
Cs Zr U O
2 1 1 6
direct
0.2500 0.2500 0.2500
0.7500 0.7500 0.7500
0.0000 0.0000 0.0000
0.5000 0.5000 0.5000
0.2530 0.2530 0.7470
0.2530 0.7470 0.2530
0.2530 0.7470 0.7470
0.7470 0.2530 0.2530
0.7470 0.2530 0.7470
0.7470 0.7470 0.2530
```

Largest 8 diffraction maxima, by intensity, 2θ from 10° to 80°:
d 3.061, 2θ 29.17, intensity 100
d 1.767, 2θ 51.73, intensity 41
d 2.164, 2θ 41.73, intensity 29
d 1.530, 2θ 60.49, intensity 19
d 1.369, 2θ 68.55, intensity 18
d 4.999, 2θ 17.74, intensity 12
d 2.610, 2θ 34.35, intensity 8
d 1.250, 2θ 76.18, intensity 6